This entry pairs a crystal structure of Ba2HoUO6 with its computed powder diffraction line list. Radiation: λ = 1.5418 Å (Cu Kα). Structure: the GGA-PBE geometry in the Materials Project.
No peak broadening, texture or thermal motion is included.

Structure:
abc: 8.7911 8.7911 8.7911
angles: 90.00 90.00 90.00
Space group Fm-3m (No. 225)
Symmetry-distinct sites (fractional):
Ba  0.2500  0.2500  0.2500
Ho  0.0000  0.0000  0.0000
U  0.0000  0.0000  0.5000
O  0.0000  0.0000  0.2550

Largest 10 diffraction maxima, by angle, 10 to 90 degrees two-theta:
Position (°2θ), I_rel, (hkl)
20.20, 78, 2 0 0
28.72, 1000, 2 2 0
41.07, 281, 4 0 0
46.18, 37, 4 2 0
50.89, 422, 4 2 2
59.48, 183, 4 4 0
67.37, 188, 6 2 0
74.83, 62, 4 4 4
82.03, 226, 6 4 2
89.10, 31, 8 0 0


This entry pairs a crystal structure of Pa2S3 with its computed powder diffraction line list. Radiation: λ = 1.5418 Å (Cu Kα). Structure: the GGA-PBE geometry in the Materials Project.
No peak broadening, texture or thermal motion is included.

Structure:
abc: 6.8222 6.8222 18.7059
angles: 90.00 90.00 120.00
Space group R-3c (No. 167, hexagonal axes)
Symmetry-distinct sites (fractional):
Pa  0.0000  0.0000  0.1564
S  0.0000  0.3102  0.2500

Largest 10 diffraction maxima, by angle, 10 to 90 degrees two-theta:
Position (°2θ), I_rel, (hkl)
17.76, 521, 0 1 2
24.27, 711, 1 0 4
26.12, 1000, 1 1 0
35.96, 306, 0 2 4
39.14, 954, 1 1 6
44.99, 314, 2 1 4
46.09, 407, 3 0 0
55.16, 186, 3 0 6
62.02, 250, 2 2 6
80.64, 238, 4 1 6


What is the formula in the first record?
Ba2HoUO6